The following is a simulated powder XRD pattern of AcZn12. It was derived from a structure optimized by DFT (PBE), using Cu Ka.

Peak list (12 most intense, 5° ≤ 2θ ≤ 70°, low angle first)
(1 0 1), 2θ = 19.23°, 4.616 Å, I 14
(2 1 1), 2θ = 27.58°, 3.234 Å, I 47
(3 1 0), 2θ = 31.20°, 2.867 Å, I 18
(0 0 2), 2θ = 33.41°, 2.682 Å, I 19
(3 0 1), 2θ = 34.05°, 2.633 Å, I 47
(2 0 2), 2θ = 39.02°, 2.308 Å, I 77
(3 2 1), 2θ = 39.58°, 2.277 Å, I 100
(4 0 0), 2θ = 39.77°, 2.266 Å, I 58
(2 2 2), 2θ = 44.02°, 2.057 Å, I 22
(3 1 2), 2θ = 46.36°, 1.959 Å, I 12
(4 2 2), 2θ = 56.94°, 1.617 Å, I 14
(3 2 3), 2θ = 63.88°, 1.457 Å, I 24

Atomic structure:
```
data_AcZn12
_cell_length_a 9.066
_cell_length_b 9.066
_cell_length_c 5.364
_cell_angle_alpha 90.00
_cell_angle_beta 90.00
_cell_angle_gamma 90.00
_space_group_name_H-M_alt 'I 4/m m m'
_space_group_IT_number 139
_space_group_name_Hall '-I 4 2'
loop_
_atom_site_label
_atom_site_type_symbol
_atom_site_fract_x
_atom_site_fract_y
_atom_site_fract_z
Ac1 Ac 0.000 0.000 0.000
Zn1 Zn 0.000 0.228 0.500
Zn2 Zn 0.000 0.358 0.000
Zn3 Zn 0.250 0.250 0.250
```